Diffraction record for CaCu2Ge4O12. The powder XRD pattern is calculated, not measured: it uses a cell relaxed with PBE and Cu Kα X-rays.
Peak positions follow from Bragg's law for the DFT cell and can differ from measured ones.

Atomic structure:
```
CaCu2Ge4O12
1.0
5.0334 -4.4985 0.0000
5.0334 4.4985 0.0000
-1.5719 0.0000 5.2497
Ca Cu Ge O
1 2 4 12
Direct
0.0000 0.0000 0.0000
0.2182 0.7818 0.5000
0.4040 0.5960 0.0000
0.1184 0.3100 0.5390
0.5034 0.0801 0.9717
0.6900 0.8816 0.4610
0.9199 0.4966 0.0283
0.1134 0.6757 0.1235
0.2125 0.0610 0.4202
0.2797 0.5157 0.6365
0.3243 0.8866 0.8765
0.3855 0.3207 0.0562
0.4843 0.7203 0.3635
0.6546 0.0674 0.7397
0.6793 0.6145 0.9438
0.7059 0.0151 0.2198
0.9326 0.3454 0.2603
0.9390 0.7875 0.5798
0.9849 0.2941 0.7802
```

Largest 6 diffraction maxima, in order of rising 2θ, 2θ from 15° to 90°:
Position (°2θ), I/Imax
19.46, 35
29.08, 100
29.51, 62
34.16, 45
34.37, 37
34.91, 72